Theoretical powder diffraction line list of Rb2PrS10 for λ = 1.5418 Å (Cu Kα), from DFT lattice parameters and positions (PBE).
Peak positions follow from Bragg's law for the DFT cell and can differ from measured ones.

Top 6 peaks for 10° ≤ 2θ ≤ 90°, by angle:
- 17.34 deg, I = 245, (1 3 0)
- 22.45 deg, I = 1000, (0 4 1)
- 28.48 deg, I = 278, (2 2 0)
- 33.55 deg, I = 362, (1 7 1)
- 35.83 deg, I = 202, (2 4 1)
- 42.05 deg, I = 281, (1 11 0)

Structure:
Unit cell a=6.473 b=25.080 c=5.108 alpha=90.00 beta=90.00 gamma=90.00
Space group Pbam (No. 55)
Symmetry-distinct sites (fractional):
Rb  0.036  0.133  0.000 x4
Pr  0.000  0.500  0.500 x2
S  0.038  0.403  0.200 x8
S  0.084  0.035  0.500 x4
S  0.159  0.712  0.500 x4
S  0.235  0.787  0.500 x4